Diffraction record for BeCo2Cu. The X-ray diffraction stick pattern is computed, not measured: it uses a structure optimized by DFT (PBE) and Cu Kα X-rays.
Peak positions follow from Bragg's law for the DFT cell and can differ from measured ones.

Structural model:
a b c (Å): 2.5608 2.5608 6.1849
angles (deg): 90.00 90.00 90.00
Space group P4/mmm (No. 123)
Unique sites:
Be (0.0000, 0.0000, 0.0000) x1
Co (0.5000, 0.5000, 0.2141) x2
Cu (0.0000, 0.0000, 0.5000) x1

Most intense lines, 2θ = 15–90°, in order of rising 2θ:
hkl 1 0 0, 2.561 Å, I = 7.6
hkl 1 0 1, 2.366 Å, I = 42.1
hkl 0 0 3, 2.062 Å, I = 16.5
hkl 1 0 2, 1.972 Å, I = 100.0
hkl 1 1 0, 1.811 Å, I = 42.7
hkl 0 0 4, 1.546 Å, I = 7.1
hkl 1 1 3, 1.361 Å, I = 15.2
hkl 2 0 0, 1.280 Å, I = 12.3
hkl 1 1 4, 1.176 Å, I = 10.7
hkl 1 0 5, 1.114 Å, I = 11.8


Diffraction record for PmNdSm2Dy5. The X-ray diffraction stick pattern is computed, not measured: it uses a structure optimized by DFT (PBE) and Cu Kα X-rays.
Peak positions follow from Bragg's law for the DFT cell and can differ from measured ones.

Structural model:
a b c (Å): 8.7121 8.7121 15.5875
angles (deg): 90.00 90.00 90.00
Space group I4/mcm (No. 140)
Unique sites:
Pm (0.0000, 0.0000, 0.2500) x4
Nd (0.0000, 0.5000, 0.2500) x4
Sm (0.1177, 0.3823, 0.0000) x8
Dy (0.0000, 0.0000, 0.0000) x4
Dy (0.2070, 0.2930, 0.3635) x16

Most intense lines, 2θ = 15–90°, in order of rising 2θ:
hkl 2 1 3, 3.117 Å, I = 52.3
hkl 2 2 0, 3.080 Å, I = 49.5
hkl 2 0 4, 2.904 Å, I = 100.0
hkl 3 1 0, 2.755 Å, I = 15.1
hkl 0 0 6, 2.598 Å, I = 14.4
hkl 2 1 5, 2.434 Å, I = 13.3
hkl 3 2 1, 2.388 Å, I = 17.2
hkl 4 0 2, 2.095 Å, I = 20.8
hkl 0 0 8, 1.948 Å, I = 13.9
hkl 4 2 4, 1.742 Å, I = 20.1


Diffraction record for Nd4Zn2Ag3. The X-ray diffraction stick pattern is computed, not measured: it uses a structure optimized by DFT (PBE) and Cu Kα X-rays.
Peak positions follow from Bragg's law for the DFT cell and can differ from measured ones.

Structural model:
a b c (Å): 5.1482 5.1482 9.6337
angles (deg): 90.00 90.00 120.00
Space group P-3m1 (No. 164)
Unique sites:
Nd (0.0000, 0.0000, 0.1613) x2
Nd (0.3333, 0.6667, 0.3867) x2
Zn (0.3333, 0.6667, 0.7184) x2
Ag (0.0000, 0.0000, 0.5000) x1
Ag (0.3333, 0.6667, 0.0078) x2

Most intense lines, 2θ = 15–90°, in order of rising 2θ:
hkl 0 1 2, 3.272 Å, I = 13.3
hkl 1 0 3, 2.606 Å, I = 94.7
hkl 1 1 0, 2.574 Å, I = 100.0
hkl 0 2 3, 1.831 Å, I = 32.7
hkl 0 1 6, 1.511 Å, I = 10.2
hkl 2 1 3, 1.492 Å, I = 33.0
hkl 3 0 0, 1.486 Å, I = 17.7
hkl 2 2 0, 1.287 Å, I = 10.8
hkl 1 2 6, 1.162 Å, I = 9.2
hkl 1 3 3, 1.154 Å, I = 14.2


Diffraction record for Nd8C3Cl3F. The X-ray diffraction stick pattern is computed, not measured: it uses a structure optimized by DFT (PBE) and Cu Kα X-rays.
Peak positions follow from Bragg's law for the DFT cell and can differ from measured ones.

Structural model:
a b c (Å): 13.2086 7.6120 8.1696
angles (deg): 90.00 122.63 90.00
Space group C2/m (No. 12)
Unique sites:
Nd (0.0204, 0.2355, 0.2965) x8
Nd (0.2329, 0.0000, 0.6984) x4
Nd (0.2443, 0.5000, 0.7037) x4
C (0.0000, 0.0000, 0.5000) x2
C (0.2500, 0.2500, 0.5000) x4
Cl (0.0000, 0.5000, 0.0000) x2
Cl (0.2500, 0.2500, 0.0000) x4
F (0.0000, 0.5000, 0.5000) x2

Most intense lines, 2θ = 15–90°, in order of rising 2θ:
hkl 0 0 2, 3.440 Å, I = 24.4
hkl 2 2 0, 3.142 Å, I = 85.6
hkl 4 0 0, 2.780 Å, I = 100.0
hkl 2 2 1, 2.577 Å, I = 20.0
hkl 4 0 1, 2.198 Å, I = 16.3
hkl 2 2 2, 2.032 Å, I = 24.6
hkl 0 4 0, 1.905 Å, I = 36.1
hkl 0 4 2, 1.666 Å, I = 18.1
hkl 2 2 3, 1.631 Å, I = 16.8
hkl 6 2 1, 1.465 Å, I = 16.6


Diffraction record for NdAl10Rh2. The X-ray diffraction stick pattern is computed, not measured: it uses a structure optimized by DFT (PBE) and Cu Kα X-rays.
Peak positions follow from Bragg's law for the DFT cell and can differ from measured ones.

Structural model:
a b c (Å): 9.0681 10.3309 9.2185
angles (deg): 90.00 90.00 90.00
Space group Cmcm (No. 63)
Unique sites:
Nd (0.0000, 0.1266, 0.2500) x4
Al (0.0000, 0.1558, 0.6023) x8
Al (0.0000, 0.3786, 0.0513) x8
Al (0.1471, 0.3721, 0.7500) x8
Al (0.2225, 0.0000, 0.0000) x8
Al (0.2278, 0.3687, 0.2500) x8
Rh (0.2500, 0.2500, 0.0000) x8

Most intense lines, 2θ = 15–90°, in order of rising 2θ:
hkl 0 2 0, 5.165 Å, I = 68.3
hkl 2 0 2, 3.232 Å, I = 100.0
hkl 0 2 3, 2.640 Å, I = 55.0
hkl 3 1 2, 2.455 Å, I = 48.0
hkl 0 0 4, 2.305 Å, I = 59.0
hkl 2 2 3, 2.282 Å, I = 71.7
hkl 4 0 0, 2.268 Å, I = 80.3
hkl 0 4 2, 2.253 Å, I = 99.7
hkl 2 4 0, 2.244 Å, I = 86.2
hkl 4 4 2, 1.599 Å, I = 49.2


Diffraction record for BaPa2Tl2S7. The X-ray diffraction stick pattern is computed, not measured: it uses a structure optimized by DFT (PBE) and Cu Kα X-rays.
Peak positions follow from Bragg's law for the DFT cell and can differ from measured ones.

Structural model:
a b c (Å): 5.2960 27.0524 5.2962
angles (deg): 90.00 90.00 90.00
Space group Imm2 (No. 44)
Unique sites:
Ba (0.0000, 0.0000, 0.0000) x2
Pa (0.0000, 0.4029, 0.9969) x4
Tl (0.0000, 0.2500, 0.4961) x4
S (0.0000, 0.0858, 0.4979) x4
S (0.0000, 0.3080, 0.9963) x4
S (0.0000, 0.4142, 0.4968) x4
S (0.0000, 0.5000, 0.9946) x2

Most intense lines, 2θ = 15–90°, in order of rising 2θ:
hkl 1 1 0, 5.197 Å, I = 58.1
hkl 1 3 0, 4.567 Å, I = 37.4
hkl 0 6 0, 4.509 Å, I = 61.5
hkl 0 5 1, 3.785 Å, I = 70.5
hkl 1 2 1, 3.609 Å, I = 100.0
hkl 1 4 1, 3.276 Å, I = 52.3
hkl 2 0 0, 2.648 Å, I = 91.4
hkl 2 6 0, 2.283 Å, I = 42.4
hkl 1 10 1, 2.193 Å, I = 70.5
hkl 3 10 1, 1.424 Å, I = 36.7


Diffraction record for Ca2HgBi2. The X-ray diffraction stick pattern is computed, not measured: it uses a structure optimized by DFT (PBE) and Cu Kα X-rays.
Peak positions follow from Bragg's law for the DFT cell and can differ from measured ones.

Structural model:
a b c (Å): 9.3799 8.2059 8.3638
angles (deg): 90.00 90.06 90.00
Space group P2_1/c (No. 14)
Unique sites:
Ca (0.1021, 0.2493, 0.0002) x4
Ca (0.3554, 0.7491, 0.5005) x4
Hg (0.3905, 0.0913, 0.7483) x4
Bi (0.1180, 0.5813, 0.2498) x4
Bi (0.3237, 0.0586, 0.2511) x4

Most intense lines, 2θ = 15–90°, in order of rising 2θ:
hkl 0 0 2, 4.182 Å, I = 100.0
hkl 2 1 1, 3.661 Å, I = 30.0
hkl 1 2 -1, 3.429 Å, I = 39.5
hkl 0 2 2, 2.929 Å, I = 56.1
hkl 2 1 2, 2.917 Å, I = 73.4
hkl 3 1 -1, 2.758 Å, I = 55.2
hkl 2 3 0, 2.363 Å, I = 67.1
hkl 0 0 4, 2.091 Å, I = 28.9
hkl 2 3 2, 2.057 Å, I = 50.5
hkl 2 3 4, 1.566 Å, I = 37.7


Diffraction record for TbFe10Re2. The X-ray diffraction stick pattern is computed, not measured: it uses a structure optimized by DFT (PBE) and Cu Kα X-rays.
Peak positions follow from Bragg's law for the DFT cell and can differ from measured ones.

Structural model:
a b c (Å): 4.6906 8.4691 8.6312
angles (deg): 90.00 90.00 90.00
Space group Immm (No. 71)
Unique sites:
Tb (0.0000, 0.0000, 0.0000) x2
Fe (0.0000, 0.2808, 0.5000) x4
Fe (0.0000, 0.3583, 0.0000) x4
Fe (0.0000, 0.5000, 0.2692) x4
Fe (0.2500, 0.2500, 0.2500) x8
Re (0.0000, 0.0000, 0.3581) x4

Most intense lines, 2θ = 15–90°, in order of rising 2θ:
hkl 0 2 0, 4.235 Å, I = 29.0
hkl 1 1 0, 4.105 Å, I = 76.5
hkl 0 1 3, 2.724 Å, I = 41.6
hkl 1 0 3, 2.452 Å, I = 56.6
hkl 1 3 0, 2.419 Å, I = 65.1
hkl 2 0 0, 2.345 Å, I = 37.0
hkl 1 2 3, 2.122 Å, I = 100.0
hkl 0 4 0, 2.117 Å, I = 48.3
hkl 1 3 2, 2.110 Å, I = 34.2
hkl 2 2 0, 2.052 Å, I = 66.7


Q: Which formula does entry 5 have?
A: NdAl10Rh2